No. 1
Starting from a cell relaxed with GGA-PBE, the X-ray powder pattern of Ba2SrI6 was computed for Cu Kα X-rays.

Peak list (10 most intense, 10° ≤ 2θ ≤ 80°, in order of rising 2θ)
2theta	d_spacing	intensity	(hkl)
26.11	3.413	100	1 1 1
28.44	3.139	86	2 0 1
29.55	3.023	53	2 1 0
33.61	2.666	36	3 0 0
34.55	2.596	34	2 1 1
35.44	2.533	30	0 0 2
46.79	1.941	29	2 1 2
49.65	1.836	27	3 0 2
53.08	1.725	33	3 2 1
76.72	1.242	15	3 2 3

Atomic structure:
a b c (Å): 9.2357 9.2357 5.0651
angles (deg): 90.00 90.00 120.00
Fractional positions:
Ba  0.3333  0.6667  0.0000
Ba  0.6667  0.3333  0.0000
Sr  0.0000  0.0000  0.5000
I  0.0000  0.2497  0.0000
I  0.0000  0.5935  0.5000
I  0.2497  0.0000  0.0000
I  0.4065  0.4065  0.5000
I  0.5935  0.0000  0.5000
I  0.7503  0.7503  0.0000

=====

No. 2
Starting from a cell relaxed with GGA-PBE, the X-ray powder pattern of TaTiCuO6 was computed for Cu Kα X-rays.

Peak list (10 most intense, 10° ≤ 2θ ≤ 80°, in order of rising 2θ)
2theta	d_spacing	intensity	(hkl)
19.63	4.522	16	0 0 2
21.32	4.167	52	1 0 1
26.86	3.320	100	1 1 0
33.49	2.676	18	1 1 2
35.39	2.537	70	1 0 3
38.34	2.347	20	2 0 0
44.29	2.045	17	2 1 1
53.16	1.723	63	2 1 3
55.35	1.660	16	2 2 0
67.43	1.389	19	3 0 3

Atomic structure:
a b c (Å): 4.6948 4.6948 9.0435
angles (deg): 90.00 90.00 90.00
Fractional positions:
Ta  0.0000  0.0000  0.0000
Ta  0.5000  0.5000  0.5000
Ti  0.0000  0.0000  0.6658
Ti  0.5000  0.5000  0.1658
Cu  0.0000  0.0000  0.3336
Cu  0.5000  0.5000  0.8336
O  0.1922  0.1922  0.8316
O  0.1958  0.1958  0.5040
O  0.1999  0.1999  0.1632
O  0.3001  0.6999  0.6632
O  0.3042  0.6958  0.0040
O  0.3078  0.6922  0.3316
O  0.6922  0.3078  0.3316
O  0.6958  0.3042  0.0040
O  0.6999  0.3001  0.6632
O  0.8001  0.8001  0.1632
O  0.8042  0.8042  0.5040
O  0.8078  0.8078  0.8316